Structure and theoretical X-ray powder pattern of In10CuAgS16 (DFT lattice parameters and positions (GGA-PBE); Cu Ka).
No peak broadening, texture or thermal motion is included.

Main lines, low angle first (2θ = 15–90°):
2θ = 23.0°, intensity 248
2θ = 27.1°, intensity 1000
2θ = 32.8°, intensity 292
2θ = 40.5°, intensity 119
2θ = 43.0°, intensity 452
2θ = 47.1°, intensity 643
2θ = 55.1°, intensity 125
2θ = 65.7°, intensity 217
2θ = 75.4°, intensity 120
2θ = 87.5°, intensity 194

Crystal structure
Cell: 7.725 7.725 10.920 Å, 90.00 90.00 90.00°
Positions (direct):
1 In 0.000 0.261 0.367
2 In 0.000 0.500 0.750
3 In 0.000 0.739 0.367
4 In 0.236 0.500 0.130
5 In 0.261 0.000 0.633
6 In 0.500 0.000 0.250
7 In 0.500 0.236 0.870
8 In 0.500 0.764 0.870
9 In 0.739 0.000 0.633
10 In 0.764 0.500 0.130
11 Cu 0.000 0.000 0.000
12 Ag 0.500 0.500 0.500
13 S 0.000 0.232 0.615
14 S 0.000 0.253 0.126
15 S 0.000 0.747 0.126
16 S 0.000 0.768 0.615
17 S 0.232 0.000 0.385
18 S 0.234 0.500 0.366
19 S 0.253 0.000 0.874
20 S 0.269 0.500 0.884
21 S 0.500 0.234 0.634
22 S 0.500 0.269 0.116
23 S 0.500 0.731 0.116
24 S 0.500 0.766 0.634
25 S 0.731 0.500 0.884
26 S 0.747 0.000 0.874
27 S 0.766 0.500 0.366
28 S 0.768 0.000 0.385

Structure and theoretical X-ray powder pattern of In2CuAgSn2S8 (DFT lattice parameters and positions (GGA-PBE); Cu Ka).
No peak broadening, texture or thermal motion is included.

Main lines, low angle first (2θ = 15–90°):
2θ = 23.4°, intensity 193
2θ = 27.5°, intensity 1000
2θ = 28.7°, intensity 99
2θ = 33.3°, intensity 356
2θ = 43.7°, intensity 306
2θ = 43.8°, intensity 114
2θ = 47.7°, intensity 112
2θ = 47.8°, intensity 558
2θ = 56.0°, intensity 114
2θ = 89.2°, intensity 113

Crystal structure
Cell: 7.609 7.609 7.609 Å, 119.98 119.84 90.15°
Positions (direct):
1 In 0.249 0.000 0.249
2 In 0.751 0.000 0.751
3 Cu 0.123 0.623 0.500
4 Ag 0.377 0.377 0.000
5 Sn 0.751 0.001 0.250
6 Sn 0.751 0.501 0.750
7 S 0.508 0.751 0.757
8 S 0.512 0.246 0.734
9 S 0.512 0.778 0.266
10 S 0.513 0.245 0.268
11 S 0.977 0.245 0.732
12 S 0.994 0.239 0.245
13 S 0.994 0.750 0.755
14 S 0.994 0.751 0.243

Structure and theoretical X-ray powder pattern of In2CuAgTe2Se2 (DFT lattice parameters and positions (GGA-PBE); Cu Ka).
No peak broadening, texture or thermal motion is included.

Main lines, low angle first (2θ = 15–90°):
2θ = 24.7°, intensity 923
2θ = 24.9°, intensity 1000
2θ = 40.9°, intensity 241
2θ = 41.0°, intensity 476
2θ = 41.1°, intensity 479
2θ = 41.5°, intensity 239
2θ = 48.4°, intensity 310
2θ = 48.6°, intensity 272
2θ = 48.8°, intensity 135
2θ = 49.0°, intensity 140

Crystal structure
Cell: 8.704 12.476 6.182 Å, 90.00 134.40 90.00°
Positions (direct):
1 In 0.000 0.000 0.000
2 In 0.000 0.264 0.500
3 In 0.500 0.500 0.000
4 In 0.500 0.764 0.500
5 Cu 0.000 0.769 0.500
6 Cu 0.500 0.269 0.500
7 Ag 0.000 0.497 0.000
8 Ag 0.500 0.997 0.000
9 Te 0.228 0.640 0.963
10 Te 0.272 0.140 0.037
11 Te 0.728 0.140 0.963
12 Te 0.772 0.640 0.037
13 Se 0.233 0.877 0.496
14 Se 0.267 0.377 0.504
15 Se 0.733 0.377 0.496
16 Se 0.767 0.877 0.504

Which formula does entry 3 have?
In2CuAgTe2Se2